Theoretical X-ray diffraction stick pattern of Li4Mn3Cr2Cu3O16 for copper Kα, from a cell relaxed with PBE+U.

```
28
Lattice="5.0779 -2.9045 0.0000 5.0779 2.9045 0.0000 -0.1744 0.0000 9.4480" Properties=species:S:1:pos:R:3 pbc="T T T"
Li 0.0000 0.0000 0.0000
Li -0.0592 0.0000 4.7654
Li 3.3581 0.0000 3.7757
Li 6.6136 0.0000 8.5042
Mn 1.6468 0.0000 6.8124
Mn 5.9338 1.4331 2.0867
Mn 5.9338 -1.4331 2.0867
Cr 3.2578 0.0000 9.3584
Cr 6.7379 0.0000 4.6940
Cu 4.1251 1.4312 6.7904
Cu 4.1251 -1.4312 6.7904
Cu 8.4382 0.0000 2.0861
O -0.0911 0.0000 7.6478
O 0.0393 0.0000 2.9929
O 2.4359 1.2718 8.0129
O 1.6543 0.0000 1.0514
O 4.3248 1.4679 1.0085
O 5.9235 1.5060 5.6784
O 3.2905 0.0000 5.8229
O 2.4359 -1.2718 8.0129
O 4.7466 0.0000 8.0322
O 7.4527 1.3021 3.2773
O 5.2500 0.0000 3.2357
O 6.7264 0.0000 1.0868
O 4.3248 -1.4679 1.0085
O 8.4444 0.0000 5.6423
O 5.9235 -1.5060 5.6784
O 7.4527 -1.3021 3.2773
```

The 8 most intense peaks (2θ from 5° to 70°), by intensity:
d = 4.724 Å, I = 100; d = 4.434 Å, I = 68; d = 2.472 Å, I = 45; d = 4.465 Å, I = 45; d = 1.959 Å, I = 44; d = 2.441 Å, I = 42; d = 1.462 Å, I = 37; d = 1.977 Å, I = 31